# 1
# AcTlRh2
Calculated X-ray powder pattern, Cu Ka. Input: a GGA-PBE-relaxed structure.

The 7 most intense peaks (2θ = 10–80°), in order of rising 2θ:
| Position (°2θ) | d/Å | Rel. int. |
| --- | --- | --- |
| 25.29 | 3.521 | 13 |
| 36.07 | 2.490 | 100 |
| 44.57 | 2.033 | 4 |
| 51.94 | 1.761 | 18 |
| 58.62 | 1.575 | 6 |
| 64.86 | 1.438 | 37 |
| 76.52 | 1.245 | 11 |

Structure:
Cell lengths 4.980, 4.980, 4.980 Å; angles 60.00, 60.00, 60.00 degrees
Fractional coordinates of all 4 atoms:
Ac 0.000 0.000 0.000
Tl 0.500 0.500 0.500
Rh 0.250 0.250 0.250
Rh 0.750 0.750 0.750


# 2
# Ba2TiO4
Calculated X-ray powder pattern, Cu Ka. Input: a GGA-PBE-relaxed structure.

The 8 most intense peaks (2θ = 10–80°), in order of rising 2θ:
| Position (°2θ) | d/Å | Rel. int. |
| --- | --- | --- |
| 25.44 | 3.501 | 30 |
| 27.04 | 3.297 | 27 |
| 28.05 | 3.181 | 100 |
| 28.42 | 3.141 | 30 |
| 28.66 | 3.115 | 93 |
| 29.78 | 3.000 | 36 |
| 35.64 | 2.519 | 33 |
| 39.96 | 2.256 | 21 |

Structure:
Cell lengths 6.240, 7.775, 12.004 Å; angles 90.00, 117.38, 90.00 degrees
Fractional coordinates of all 28 atoms:
Ba 0.024 0.003 0.301
Ba 0.024 0.497 0.801
Ba 0.305 0.660 0.573
Ba 0.305 0.840 0.073
Ba 0.695 0.160 0.927
Ba 0.695 0.340 0.427
Ba 0.976 0.503 0.199
Ba 0.976 0.997 0.699
Ti 0.344 0.220 0.583
Ti 0.344 0.280 0.083
Ti 0.656 0.720 0.917
Ti 0.656 0.780 0.417
O 0.143 0.175 0.137
O 0.143 0.325 0.637
O 0.265 0.181 0.930
O 0.265 0.319 0.430
O 0.275 0.507 0.064
O 0.275 0.993 0.564
O 0.334 0.744 0.309
O 0.334 0.756 0.809
O 0.666 0.244 0.191
O 0.666 0.256 0.691
O 0.725 0.007 0.436
O 0.725 0.493 0.936
O 0.735 0.681 0.570
O 0.735 0.819 0.070
O 0.857 0.675 0.363
O 0.857 0.825 0.863


# 3
# Sm3Sb5O12
Calculated X-ray powder pattern, Cu Ka. Input: a GGA-PBE-relaxed structure.

The 8 most intense peaks (2θ = 10–80°), in order of rising 2θ:
| Position (°2θ) | d/Å | Rel. int. |
| --- | --- | --- |
| 11.32 | 7.816 | 14 |
| 27.96 | 3.191 | 100 |
| 32.40 | 2.764 | 35 |
| 46.47 | 1.954 | 43 |
| 55.11 | 1.666 | 39 |
| 57.79 | 1.596 | 9 |
| 74.89 | 1.268 | 13 |
| 77.19 | 1.236 | 11 |

Structure:
Cell lengths 9.573, 9.573, 9.573 Å; angles 109.47, 109.47, 109.47 degrees
Fractional coordinates of all 40 atoms:
Sm 0.250 0.500 0.750
Sm 0.250 0.750 0.500
Sm 0.500 0.250 0.750
Sm 0.500 0.750 0.250
Sm 0.750 0.250 0.500
Sm 0.750 0.500 0.250
Sb 0.000 0.000 0.491
Sb 0.000 0.282 0.282
Sb 0.000 0.491 0.000
Sb 0.000 0.718 0.718
Sb 0.282 0.000 0.282
Sb 0.282 0.282 0.000
Sb 0.491 0.000 0.000
Sb 0.509 0.509 0.509
Sb 0.718 0.000 0.718
Sb 0.718 0.718 0.000
O 0.000 0.293 0.493
O 0.000 0.493 0.293
O 0.000 0.525 0.801
O 0.000 0.801 0.525
O 0.199 0.199 0.724
O 0.199 0.724 0.199
O 0.200 0.707 0.707
O 0.276 0.475 0.475
O 0.293 0.000 0.493
O 0.293 0.493 0.000
O 0.475 0.276 0.475
O 0.475 0.475 0.276
O 0.493 0.000 0.293
O 0.493 0.293 0.000
O 0.507 0.507 0.800
O 0.507 0.800 0.507
O 0.525 0.000 0.801
O 0.525 0.801 0.000
O 0.707 0.200 0.707
O 0.707 0.707 0.200
O 0.724 0.199 0.199
O 0.800 0.507 0.507
O 0.801 0.000 0.525
O 0.801 0.525 0.000


# 4
# Al2SiO5
Calculated X-ray powder pattern, Cu Ka. Input: a GGA-PBE-relaxed structure.

The 8 most intense peaks (2θ = 10–80°), in order of rising 2θ:
| Position (°2θ) | d/Å | Rel. int. |
| --- | --- | --- |
| 19.12 | 4.643 | 49 |
| 26.78 | 3.329 | 100 |
| 35.15 | 2.553 | 71 |
| 49.29 | 1.849 | 39 |
| 51.23 | 1.783 | 43 |
| 63.65 | 1.462 | 23 |
| 64.22 | 1.450 | 29 |
| 73.83 | 1.283 | 18 |

Structure:
Cell lengths 4.974, 4.974, 9.171 Å; angles 90.00, 90.00, 137.98 degrees
Fractional coordinates of all 16 atoms:
Al 0.135 0.865 0.567
Al 0.135 0.865 0.933
Al 0.865 0.135 0.067
Al 0.865 0.135 0.433
Si 0.184 0.816 0.250
Si 0.816 0.184 0.750
O 0.055 0.945 0.118
O 0.055 0.945 0.382
O 0.260 0.740 0.750
O 0.313 0.687 0.090
O 0.313 0.687 0.410
O 0.687 0.313 0.590
O 0.687 0.313 0.910
O 0.740 0.260 0.250
O 0.945 0.055 0.618
O 0.945 0.055 0.882


# 5
# DyCoC
Calculated X-ray powder pattern, Cu Ka. Input: a GGA-PBE-relaxed structure.

The 8 most intense peaks (2θ = 10–80°), in order of rising 2θ:
| Position (°2θ) | d/Å | Rel. int. |
| --- | --- | --- |
| 24.57 | 3.624 | 25 |
| 35.02 | 2.562 | 49 |
| 35.90 | 2.501 | 100 |
| 43.99 | 2.059 | 13 |
| 50.37 | 1.812 | 20 |
| 63.39 | 1.467 | 37 |
| 65.09 | 1.433 | 16 |
| 76.10 | 1.251 | 12 |

Structure:
Cell lengths 3.624, 3.624, 6.915 Å; angles 90.00, 90.00, 90.00 degrees
Fractional coordinates of all 6 atoms:
Dy 0.000 0.000 0.250
Dy 0.000 0.000 0.750
Co 0.500 0.500 0.000
Co 0.500 0.500 0.500
C 0.000 0.500 0.000
C 0.500 0.000 0.500


# 6
# SrO10
Calculated X-ray powder pattern, Cu Ka. Input: a GGA-PBE-relaxed structure.

The 8 most intense peaks (2θ = 10–80°), in order of rising 2θ:
| Position (°2θ) | d/Å | Rel. int. |
| --- | --- | --- |
| 15.15 | 5.850 | 29 |
| 16.46 | 5.385 | 100 |
| 22.44 | 3.962 | 28 |
| 27.18 | 3.280 | 27 |
| 30.56 | 2.925 | 65 |
| 34.91 | 2.570 | 43 |
| 39.95 | 2.257 | 45 |
| 48.52 | 1.876 | 16 |

Structure:
Cell lengths 5.850, 5.850, 10.770 Å; angles 90.00, 90.00, 90.00 degrees
Fractional coordinates of all 22 atoms:
Sr 0.000 0.000 0.000
Sr 0.000 0.000 0.500
O 0.061 0.409 0.098
O 0.061 0.409 0.902
O 0.061 0.591 0.402
O 0.061 0.591 0.598
O 0.409 0.061 0.402
O 0.409 0.061 0.598
O 0.409 0.939 0.098
O 0.409 0.939 0.902
O 0.500 0.500 0.057
O 0.500 0.500 0.443
O 0.500 0.500 0.557
O 0.500 0.500 0.943
O 0.591 0.061 0.098
O 0.591 0.061 0.902
O 0.591 0.939 0.402
O 0.591 0.939 0.598
O 0.939 0.409 0.402
O 0.939 0.409 0.598
O 0.939 0.591 0.098
O 0.939 0.591 0.902


# 7
# RuF5
Calculated X-ray powder pattern, Cu Ka. Input: a GGA-PBE-relaxed structure.

The 8 most intense peaks (2θ = 10–80°), in order of rising 2θ:
| Position (°2θ) | d/Å | Rel. int. |
| --- | --- | --- |
| 18.45 | 4.809 | 27 |
| 19.31 | 4.598 | 75 |
| 20.57 | 4.317 | 39 |
| 22.39 | 3.971 | 100 |
| 22.86 | 3.889 | 18 |
| 23.69 | 3.756 | 41 |
| 29.13 | 3.065 | 23 |
| 52.18 | 1.753 | 18 |

Structure:
Cell lengths 5.633, 10.218, 12.832 Å; angles 90.00, 100.47, 90.00 degrees
Fractional coordinates of all 48 atoms:
Ru 0.005 0.247 0.499
Ru 0.005 0.253 0.999
Ru 0.304 0.504 0.699
Ru 0.304 0.996 0.199
Ru 0.696 0.004 0.801
Ru 0.696 0.496 0.301
Ru 0.995 0.747 0.001
Ru 0.995 0.753 0.501
F 0.024 0.570 0.739
F 0.024 0.930 0.239
F 0.099 0.668 0.131
F 0.099 0.832 0.631
F 0.102 0.154 0.138
F 0.102 0.346 0.638
F 0.188 0.105 0.554
F 0.188 0.395 0.054
F 0.193 0.591 0.555
F 0.193 0.909 0.055
F 0.264 0.687 0.949
F 0.264 0.813 0.449
F 0.268 0.175 0.953
F 0.268 0.325 0.453
F 0.391 0.084 0.325
F 0.391 0.416 0.825
F 0.439 0.567 0.356
F 0.439 0.933 0.856
F 0.477 0.652 0.746
F 0.477 0.848 0.246
F 0.523 0.152 0.754
F 0.523 0.348 0.254
F 0.561 0.067 0.144
F 0.561 0.433 0.644
F 0.609 0.584 0.175
F 0.609 0.916 0.675
F 0.732 0.675 0.547
F 0.732 0.825 0.047
F 0.736 0.187 0.551
F 0.736 0.313 0.051
F 0.807 0.091 0.945
F 0.807 0.409 0.445
F 0.812 0.605 0.946
F 0.812 0.895 0.446
F 0.898 0.654 0.362
F 0.898 0.846 0.862
F 0.901 0.168 0.369
F 0.901 0.332 0.869
F 0.976 0.070 0.761
F 0.976 0.430 0.261